# 1
Li5Ac2Cd4: calculated XRD peak list (Cu Ka), based on DFT lattice parameters and positions (PBE).
Peak positions follow from Bragg's law for the DFT cell and can differ from measured ones.

Most intense lines, 2θ from 15° to 90°, low angle first:
| Position (°2θ) | d (Å) | I/Imax |
| --- | --- | --- |
| 19.74 | 4.499 | 100.0 |
| 22.65 | 3.926 | 21.8 |
| 29.54 | 3.024 | 45.2 |
| 30.70 | 2.912 | 68.6 |
| 33.86 | 2.648 | 93.5 |
| 35.78 | 2.509 | 49.9 |
| 46.88 | 1.938 | 44.3 |
| 53.15 | 1.723 | 14.6 |
| 55.22 | 1.663 | 23.4 |
| 64.94 | 1.436 | 16.1 |

Cell and atoms:
```
data_Li5Ac2Cd4
_cell_length_a 10.3277
_cell_length_b 9.4916
_cell_length_c 5.9039
_cell_angle_alpha 80.61
_cell_angle_beta 65.06
_cell_angle_gamma 34.33
_symmetry_space_group_name_H-M 'P 1'
_symmetry_Int_Tables_number 1
_symmetry_space_group_name_Hall 'P 1'
loop_
_atom_site_label
_atom_site_type_symbol
_atom_site_fract_x
_atom_site_fract_y
_atom_site_fract_z
_atom_site_occupancy
Li1 Li 0.0000 0.0000 0.0000 1
Li2 Li 0.0000 0.0000 0.5000 1
Li3 Li 0.2500 0.2500 0.2500 1
Li4 Li 0.5000 0.5000 0.0000 1
Li5 Li 0.7500 0.7500 0.7500 1
Ac1 Ac 0.3529 0.3529 0.6471 1
Ac2 Ac 0.6471 0.6471 0.3529 1
Cd1 Cd 0.0291 0.7127 0.2873 1
Cd2 Cd 0.2873 0.9709 0.0291 1
Cd3 Cd 0.7127 0.0291 0.9709 1
Cd4 Cd 0.9709 0.2873 0.7127 1
```



# 2
LiPmC3N6: calculated XRD peak list (Cu Ka), based on DFT lattice parameters and positions (PBE).
Peak positions follow from Bragg's law for the DFT cell and can differ from measured ones.

Most intense lines, 2θ from 15° to 90°, low angle first:
| Position (°2θ) | d (Å) | I/Imax |
| --- | --- | --- |
| 17.33 | 5.118 | 62.0 |
| 17.61 | 5.036 | 100.0 |
| 24.80 | 3.590 | 94.2 |
| 30.58 | 2.923 | 22.4 |
| 35.07 | 2.559 | 30.6 |
| 35.66 | 2.518 | 21.7 |
| 39.50 | 2.281 | 30.9 |
| 39.90 | 2.259 | 37.1 |
| 46.74 | 1.944 | 12.9 |
| 47.32 | 1.921 | 20.3 |

Cell and atoms:
```
data_LiPmC3N6
_cell_length_a 6.1851
_cell_length_b 6.1851
_cell_length_c 6.1851
_cell_angle_alpha 109.02
_cell_angle_beta 109.02
_cell_angle_gamma 109.02
_symmetry_space_group_name_H-M 'P 1'
_symmetry_Int_Tables_number 1
_symmetry_space_group_name_Hall 'P 1'
loop_
_atom_site_label
_atom_site_type_symbol
_atom_site_fract_x
_atom_site_fract_y
_atom_site_fract_z
_atom_site_occupancy
Li1 Li 0.0000 0.0000 0.0000 1
Pm1 Pm 0.5000 0.5000 0.5000 1
C1 C 0.0011 0.5000 0.9989 1
C2 C 0.5000 0.9989 0.0011 1
C3 C 0.9989 0.0011 0.5000 1
N1 N 0.1361 0.1383 0.4409 1
N2 N 0.1383 0.4409 0.1361 1
N3 N 0.4409 0.1361 0.1383 1
N4 N 0.5591 0.8617 0.8639 1
N5 N 0.8617 0.8639 0.5591 1
N6 N 0.8639 0.5591 0.8617 1
```



# 3
ThSc2Tl2Ag2: calculated XRD peak list (Cu Ka), based on DFT lattice parameters and positions (PBE).
Peak positions follow from Bragg's law for the DFT cell and can differ from measured ones.

Most intense lines, 2θ from 15° to 90°, low angle first:
| Position (°2θ) | d (Å) | I/Imax |
| --- | --- | --- |
| 25.75 | 3.460 | 87.6 |
| 32.98 | 2.716 | 82.5 |
| 35.82 | 2.507 | 20.4 |
| 37.63 | 2.390 | 100.0 |
| 45.24 | 2.004 | 23.7 |
| 46.16 | 1.966 | 19.2 |
| 50.89 | 1.794 | 24.0 |
| 61.02 | 1.519 | 17.2 |
| 64.99 | 1.435 | 22.8 |
| 67.93 | 1.380 | 17.5 |

Cell and atoms:
```
data_ThSc2Tl2Ag2
_cell_length_a 8.8409
_cell_length_b 8.8409
_cell_length_c 8.8409
_cell_angle_alpha 31.37
_cell_angle_beta 31.37
_cell_angle_gamma 31.37
_symmetry_space_group_name_H-M 'P 1'
_symmetry_Int_Tables_number 1
_symmetry_space_group_name_Hall 'P 1'
loop_
_atom_site_label
_atom_site_type_symbol
_atom_site_fract_x
_atom_site_fract_y
_atom_site_fract_z
_atom_site_occupancy
Th1 Th 0.0000 0.0000 0.0000 1
Sc1 Sc 0.1367 0.1367 0.1367 1
Sc2 Sc 0.8633 0.8633 0.8633 1
Tl1 Tl 0.2628 0.2628 0.2628 1
Tl2 Tl 0.7372 0.7372 0.7372 1
Ag1 Ag 0.4418 0.4418 0.4418 1
Ag2 Ag 0.5582 0.5582 0.5582 1
```



# 4
Ce4DyS5: calculated XRD peak list (Cu Ka), based on DFT lattice parameters and positions (PBE).
Peak positions follow from Bragg's law for the DFT cell and can differ from measured ones.

Most intense lines, 2θ from 15° to 90°, low angle first:
| Position (°2θ) | d (Å) | I/Imax |
| --- | --- | --- |
| 27.34 | 3.262 | 74.0 |
| 31.67 | 2.825 | 100.0 |
| 45.40 | 1.998 | 71.9 |
| 53.81 | 1.704 | 36.4 |
| 56.41 | 1.631 | 24.9 |
| 66.15 | 1.413 | 11.5 |
| 72.98 | 1.296 | 14.7 |
| 75.20 | 1.263 | 31.7 |
| 83.89 | 1.153 | 24.2 |

Cell and atoms:
```
data_Ce4DyS5
_cell_length_a 6.9199
_cell_length_b 6.9199
_cell_length_c 6.9199
_cell_angle_alpha 99.60
_cell_angle_beta 99.60
_cell_angle_gamma 131.79
_symmetry_space_group_name_H-M 'P 1'
_symmetry_Int_Tables_number 1
_symmetry_space_group_name_Hall 'P 1'
loop_
_atom_site_label
_atom_site_type_symbol
_atom_site_fract_x
_atom_site_fract_y
_atom_site_fract_z
_atom_site_occupancy
Ce1 Ce 0.0990 0.3012 0.4002 1
Ce2 Ce 0.3012 0.9010 0.2022 1
Ce3 Ce 0.6988 0.0990 0.7978 1
Ce4 Ce 0.9010 0.6988 0.5998 1
Dy1 Dy 0.5000 0.5000 0.0000 1
S1 S 0.0000 0.0000 0.0000 1
S2 S 0.2059 0.5991 0.8050 1
S3 S 0.4009 0.2059 0.6067 1
S4 S 0.5991 0.7941 0.3933 1
S5 S 0.7941 0.4009 0.1950 1
```



# 5
Sm2Ga4Cu5: calculated XRD peak list (Cu Ka), based on DFT lattice parameters and positions (PBE).
Peak positions follow from Bragg's law for the DFT cell and can differ from measured ones.

Most intense lines, 2θ from 15° to 90°, low angle first:
| Position (°2θ) | d (Å) | I/Imax |
| --- | --- | --- |
| 25.99 | 3.429 | 22.7 |
| 30.78 | 2.905 | 29.2 |
| 33.28 | 2.692 | 31.1 |
| 37.60 | 2.392 | 100.0 |
| 40.69 | 2.217 | 54.2 |
| 45.19 | 2.007 | 18.2 |
| 49.47 | 1.842 | 22.2 |
| 55.00 | 1.669 | 16.1 |
| 61.07 | 1.517 | 15.7 |
| 68.54 | 1.369 | 14.5 |

Cell and atoms:
```
data_Sm2Ga4Cu5
_cell_length_a 8.7539
_cell_length_b 7.8769
_cell_length_c 5.4771
_cell_angle_alpha 79.71
_cell_angle_beta 62.29
_cell_angle_gamma 38.00
_symmetry_space_group_name_H-M 'P 1'
_symmetry_Int_Tables_number 1
_symmetry_space_group_name_Hall 'P 1'
loop_
_atom_site_label
_atom_site_type_symbol
_atom_site_fract_x
_atom_site_fract_y
_atom_site_fract_z
_atom_site_occupancy
Sm1 Sm 0.1387 0.1387 0.8613 1
Sm2 Sm 0.8613 0.8613 0.1387 1
Ga1 Ga 0.2171 0.5221 0.4779 1
Ga2 Ga 0.4779 0.7829 0.2171 1
Ga3 Ga 0.5221 0.2171 0.7829 1
Ga4 Ga 0.7829 0.4779 0.5221 1
Cu1 Cu 0.0000 0.0000 0.5000 1
Cu2 Cu 0.2500 0.2500 0.2500 1
Cu3 Cu 0.5000 0.5000 0.0000 1
Cu4 Cu 0.5000 0.5000 0.5000 1
Cu5 Cu 0.7500 0.7500 0.7500 1
```



# 6
La4Y5Th: calculated XRD peak list (Cu Ka), based on DFT lattice parameters and positions (PBE).
Peak positions follow from Bragg's law for the DFT cell and can differ from measured ones.

Most intense lines, 2θ from 15° to 90°, low angle first:
| Position (°2θ) | d (Å) | I/Imax |
| --- | --- | --- |
| 20.97 | 4.236 | 32.9 |
| 27.15 | 3.285 | 46.6 |
| 28.91 | 3.088 | 26.6 |
| 29.93 | 2.985 | 46.5 |
| 30.03 | 2.975 | 33.7 |
| 30.52 | 2.929 | 38.0 |
| 31.65 | 2.827 | 19.0 |
| 36.08 | 2.490 | 29.3 |
| 36.22 | 2.480 | 100.0 |
| 62.67 | 1.482 | 19.3 |

Cell and atoms:
```
data_La4Y5Th
_cell_length_a 6.8347
_cell_length_b 9.0655
_cell_length_c 11.9017
_cell_angle_alpha 90.00
_cell_angle_beta 90.00
_cell_angle_gamma 90.00
_symmetry_space_group_name_H-M 'P 1'
_symmetry_Int_Tables_number 1
_symmetry_space_group_name_Hall 'P 1'
loop_
_atom_site_label
_atom_site_type_symbol
_atom_site_fract_x
_atom_site_fract_y
_atom_site_fract_z
_atom_site_occupancy
La1 La 0.0051 0.2500 0.0375 1
La2 La 0.2500 0.5340 0.5071 1
La3 La 0.2500 0.9660 0.5071 1
La4 La 0.4949 0.2500 0.0375 1
La5 La 0.5051 0.7500 0.9625 1
La6 La 0.7500 0.0340 0.4929 1
La7 La 0.7500 0.4660 0.4929 1
La8 La 0.9949 0.7500 0.9625 1
Y1 Y 0.0018 0.5646 0.2233 1
Y2 Y 0.0018 0.9354 0.2233 1
Y3 Y 0.2500 0.2500 0.3060 1
Y4 Y 0.4982 0.5646 0.2233 1
Y5 Y 0.4982 0.9354 0.2233 1
Y6 Y 0.5018 0.0646 0.7767 1
Y7 Y 0.5018 0.4354 0.7767 1
Y8 Y 0.7500 0.7500 0.6940 1
Y9 Y 0.9982 0.0646 0.7767 1
Y10 Y 0.9982 0.4354 0.7767 1
Th1 Th 0.2500 0.7500 0.7256 1
Th2 Th 0.7500 0.2500 0.2744 1
```



# 7
Pa2MnAsN6: calculated XRD peak list (Cu Ka), based on DFT lattice parameters and positions (PBE).
Peak positions follow from Bragg's law for the DFT cell and can differ from measured ones.

Most intense lines, 2θ from 15° to 90°, low angle first:
| Position (°2θ) | d (Å) | I/Imax |
| --- | --- | --- |
| 22.04 | 4.033 | 75.7 |
| 29.98 | 2.981 | 100.0 |
| 32.71 | 2.738 | 81.9 |
| 39.80 | 2.265 | 19.6 |
| 44.96 | 2.016 | 33.3 |
| 48.75 | 1.868 | 35.8 |
| 51.43 | 1.777 | 15.2 |
| 52.43 | 1.745 | 17.1 |
| 56.70 | 1.624 | 33.9 |
| 58.38 | 1.581 | 21.6 |

Cell and atoms:
```
data_Pa2MnAsN6
_cell_length_a 6.0090
_cell_length_b 6.0090
_cell_length_c 6.0090
_cell_angle_alpha 54.21
_cell_angle_beta 54.21
_cell_angle_gamma 54.21
_symmetry_space_group_name_H-M 'P 1'
_symmetry_Int_Tables_number 1
_symmetry_space_group_name_Hall 'P 1'
loop_
_atom_site_label
_atom_site_type_symbol
_atom_site_fract_x
_atom_site_fract_y
_atom_site_fract_z
_atom_site_occupancy
Pa1 Pa 0.0000 0.0000 0.0000 1
Pa2 Pa 0.4855 0.4855 0.4855 1
Mn1 Mn 0.6945 0.6945 0.6945 1
As1 As 0.2212 0.2212 0.2212 1
N1 N 0.0431 0.7649 0.4404 1
N2 N 0.3150 0.5619 0.9118 1
N3 N 0.4404 0.0431 0.7649 1
N4 N 0.5619 0.9118 0.3150 1
N5 N 0.7649 0.4404 0.0431 1
N6 N 0.9118 0.3150 0.5619 1
```



# 8
La4GaRhI2: calculated XRD peak list (Cu Ka), based on DFT lattice parameters and positions (PBE).
Peak positions follow from Bragg's law for the DFT cell and can differ from measured ones.

Most intense lines, 2θ from 15° to 90°, low angle first:
| Position (°2θ) | d (Å) | I/Imax |
| --- | --- | --- |
| 27.71 | 3.220 | 100.0 |
| 29.99 | 2.979 | 11.1 |
| 33.35 | 2.687 | 7.7 |
| 35.09 | 2.557 | 7.3 |
| 37.79 | 2.381 | 11.0 |
| 38.14 | 2.360 | 17.1 |
| 40.97 | 2.203 | 25.2 |
| 41.36 | 2.183 | 13.0 |
| 50.49 | 1.808 | 11.4 |
| 66.70 | 1.402 | 9.4 |

Cell and atoms:
```
data_La4GaRhI2
_cell_length_a 7.6553
_cell_length_b 4.3662
_cell_length_c 8.4368
_cell_angle_alpha 90.00
_cell_angle_beta 107.19
_cell_angle_gamma 90.00
_symmetry_space_group_name_H-M 'P 1'
_symmetry_Int_Tables_number 1
_symmetry_space_group_name_Hall 'P 1'
loop_
_atom_site_label
_atom_site_type_symbol
_atom_site_fract_x
_atom_site_fract_y
_atom_site_fract_z
_atom_site_occupancy
La1 La 0.2259 0.0000 0.1928 1
La2 La 0.2429 0.5000 0.8089 1
La3 La 0.7571 0.5000 0.1911 1
La4 La 0.7741 0.0000 0.8072 1
Ga1 Ga 0.5000 0.0000 0.0000 1
Rh1 Rh 0.0000 0.5000 0.0000 1
I1 I 0.0000 0.0000 0.5000 1
I2 I 0.5000 0.5000 0.5000 1
```



# 9
CeSc4As5: calculated XRD peak list (Cu Ka), based on DFT lattice parameters and positions (PBE).
Peak positions follow from Bragg's law for the DFT cell and can differ from measured ones.

Most intense lines, 2θ from 15° to 90°, low angle first:
| Position (°2θ) | d (Å) | I/Imax |
| --- | --- | --- |
| 31.87 | 2.808 | 51.6 |
| 32.07 | 2.791 | 100.0 |
| 45.86 | 1.979 | 90.0 |
| 46.06 | 1.971 | 17.0 |
| 56.99 | 1.616 | 18.7 |
| 57.10 | 1.613 | 17.5 |
| 75.85 | 1.254 | 15.4 |
| 76.20 | 1.249 | 22.2 |
| 84.73 | 1.144 | 11.5 |
| 84.97 | 1.141 | 11.6 |

Cell and atoms:
```
data_CeSc4As5
_cell_length_a 10.4341
_cell_length_b 10.4341
_cell_length_c 10.4341
_cell_angle_alpha 158.17
_cell_angle_beta 148.78
_cell_angle_gamma 38.42
_symmetry_space_group_name_H-M 'P 1'
_symmetry_Int_Tables_number 1
_symmetry_space_group_name_Hall 'P 1'
loop_
_atom_site_label
_atom_site_type_symbol
_atom_site_fract_x
_atom_site_fract_y
_atom_site_fract_z
_atom_site_occupancy
Ce1 Ce 0.0000 0.0000 0.0000 1
Sc1 Sc 0.2047 0.2047 0.0000 1
Sc2 Sc 0.3972 0.3972 0.0000 1
Sc3 Sc 0.6028 0.6028 0.0000 1
Sc4 Sc 0.7953 0.7953 0.0000 1
As1 As 0.1071 0.6071 0.5000 1
As2 As 0.3006 0.8006 0.5000 1
As3 As 0.5000 0.0000 0.5000 1
As4 As 0.6994 0.1994 0.5000 1
As5 As 0.8929 0.3929 0.5000 1
```



# 10
PrNi9B2: calculated XRD peak list (Cu Ka), based on DFT lattice parameters and positions (PBE).
Peak positions follow from Bragg's law for the DFT cell and can differ from measured ones.

Most intense lines, 2θ from 15° to 90°, low angle first:
| Position (°2θ) | d (Å) | I/Imax |
| --- | --- | --- |
| 29.74 | 3.004 | 15.0 |
| 30.34 | 2.946 | 15.0 |
| 39.69 | 2.271 | 39.1 |
| 40.16 | 2.246 | 100.0 |
| 48.28 | 1.885 | 11.8 |
| 52.77 | 1.735 | 16.6 |
| 53.15 | 1.723 | 14.7 |
| 54.28 | 1.690 | 15.6 |
| 61.75 | 1.502 | 12.3 |
| 69.31 | 1.356 | 14.2 |

Cell and atoms:
```
data_PrNi9B2
_cell_length_a 6.9385
_cell_length_b 6.9385
_cell_length_c 3.3799
_cell_angle_alpha 90.00
_cell_angle_beta 90.00
_cell_angle_gamma 120.00
_symmetry_space_group_name_H-M 'P 1'
_symmetry_Int_Tables_number 1
_symmetry_space_group_name_Hall 'P 1'
loop_
_atom_site_label
_atom_site_type_symbol
_atom_site_fract_x
_atom_site_fract_y
_atom_site_fract_z
_atom_site_occupancy
Pr1 Pr 0.0000 0.0000 0.0000 1
Ni1 Ni 0.0000 0.5000 0.0000 1
Ni2 Ni 0.2145 0.4291 0.5000 1
Ni3 Ni 0.2145 0.7855 0.5000 1
Ni4 Ni 0.4291 0.2145 0.5000 1
Ni5 Ni 0.5000 0.0000 0.0000 1
Ni6 Ni 0.5000 0.5000 0.0000 1
Ni7 Ni 0.5709 0.7855 0.5000 1
Ni8 Ni 0.7855 0.2145 0.5000 1
Ni9 Ni 0.7855 0.5709 0.5000 1
B1 B 0.3333 0.6667 0.0000 1
B2 B 0.6667 0.3333 0.0000 1
```



# 11
Ac6Pm: calculated XRD peak list (Cu Ka), based on DFT lattice parameters and positions (PBE).
Peak positions follow from Bragg's law for the DFT cell and can differ from measured ones.

Most intense lines, 2θ from 15° to 90°, low angle first:
| Position (°2θ) | d (Å) | I/Imax |
| --- | --- | --- |
| 25.82 | 3.451 | 89.9 |
| 27.75 | 3.214 | 65.1 |
| 28.69 | 3.112 | 100.0 |
| 31.33 | 2.855 | 80.6 |
| 32.98 | 2.716 | 36.5 |
| 35.34 | 2.540 | 43.1 |
| 46.12 | 1.968 | 34.6 |
| 49.68 | 1.835 | 51.2 |
| 54.70 | 1.678 | 37.6 |
| 58.91 | 1.568 | 27.5 |

Cell and atoms:
```
data_Ac6Pm
_cell_length_a 7.1830
_cell_length_b 7.1830
_cell_length_c 12.4541
_cell_angle_alpha 90.00
_cell_angle_beta 90.00
_cell_angle_gamma 90.00
_symmetry_space_group_name_H-M 'P 1'
_symmetry_Int_Tables_number 1
_symmetry_space_group_name_Hall 'P 1'
loop_
_atom_site_label
_atom_site_type_symbol
_atom_site_fract_x
_atom_site_fract_y
_atom_site_fract_z
_atom_site_occupancy
Ac1 Ac 0.0783 0.5783 0.1374 1
Ac2 Ac 0.0783 0.9217 0.8626 1
Ac3 Ac 0.2500 0.2500 0.3611 1
Ac4 Ac 0.2500 0.2500 0.6389 1
Ac5 Ac 0.4217 0.5783 0.8626 1
Ac6 Ac 0.4217 0.9217 0.1374 1
Ac7 Ac 0.5783 0.0783 0.8626 1
Ac8 Ac 0.5783 0.4217 0.1374 1
Ac9 Ac 0.7500 0.7500 0.3611 1
Ac10 Ac 0.7500 0.7500 0.6389 1
Ac11 Ac 0.9217 0.0783 0.1374 1
Ac12 Ac 0.9217 0.4217 0.8626 1
Pm1 Pm 0.2500 0.7500 0.5000 1
Pm2 Pm 0.7500 0.2500 0.5000 1
```



# 12
Ce2IrSe: calculated XRD peak list (Cu Ka), based on DFT lattice parameters and positions (PBE).
Peak positions follow from Bragg's law for the DFT cell and can differ from measured ones.

Most intense lines, 2θ from 15° to 90°, low angle first:
| Position (°2θ) | d (Å) | I/Imax |
| --- | --- | --- |
| 18.29 | 4.851 | 7.8 |
| 30.37 | 2.943 | 100.0 |
| 42.35 | 2.134 | 11.3 |
| 43.47 | 2.082 | 49.2 |
| 44.67 | 2.029 | 12.0 |
| 52.97 | 1.729 | 11.8 |
| 54.94 | 1.671 | 13.0 |
| 71.62 | 1.318 | 11.2 |
| 71.73 | 1.316 | 9.5 |
| 81.48 | 1.181 | 8.3 |

Cell and atoms:
```
data_Ce2IrSe
_cell_length_a 4.0576
_cell_length_b 5.8950
_cell_length_c 8.5367
_cell_angle_alpha 90.00
_cell_angle_beta 90.00
_cell_angle_gamma 90.00
_symmetry_space_group_name_H-M 'P 1'
_symmetry_Int_Tables_number 1
_symmetry_space_group_name_Hall 'P 1'
loop_
_atom_site_label
_atom_site_type_symbol
_atom_site_fract_x
_atom_site_fract_y
_atom_site_fract_z
_atom_site_occupancy
Ce1 Ce 0.2500 0.2500 0.1168 1
Ce2 Ce 0.2500 0.2500 0.6569 1
Ce3 Ce 0.7500 0.7500 0.3431 1
Ce4 Ce 0.7500 0.7500 0.8832 1
Ir1 Ir 0.2500 0.7500 0.1189 1
Ir2 Ir 0.7500 0.2500 0.8811 1
Se1 Se 0.2500 0.7500 0.6084 1
Se2 Se 0.7500 0.2500 0.3916 1
```



# 13
K2AgO2: calculated XRD peak list (Cu Ka), based on DFT lattice parameters and positions (PBE).
Peak positions follow from Bragg's law for the DFT cell and can differ from measured ones.

Most intense lines, 2θ from 15° to 90°, low angle first:
| Position (°2θ) | d (Å) | I/Imax |
| --- | --- | --- |
| 23.43 | 3.798 | 55.5 |
| 29.66 | 3.012 | 100.0 |
| 32.08 | 2.790 | 79.1 |
| 38.62 | 2.331 | 19.9 |
| 46.00 | 1.973 | 26.3 |
| 51.05 | 1.789 | 32.8 |
| 52.26 | 1.750 | 14.0 |
| 55.70 | 1.650 | 31.5 |
| 61.58 | 1.506 | 17.6 |
| 82.75 | 1.166 | 13.0 |

Cell and atoms:
```
data_K2AgO2
_cell_length_a 3.9457
_cell_length_b 3.9457
_cell_length_c 13.9886
_cell_angle_alpha 90.00
_cell_angle_beta 90.00
_cell_angle_gamma 90.00
_symmetry_space_group_name_H-M 'P 1'
_symmetry_Int_Tables_number 1
_symmetry_space_group_name_Hall 'P 1'
loop_
_atom_site_label
_atom_site_type_symbol
_atom_site_fract_x
_atom_site_fract_y
_atom_site_fract_z
_atom_site_occupancy
K1 K 0.0000 0.0000 0.1610 1
K2 K 0.0000 0.0000 0.8390 1
K3 K 0.5000 0.5000 0.3390 1
K4 K 0.5000 0.5000 0.6610 1
Ag1 Ag 0.0000 0.0000 0.5000 1
Ag2 Ag 0.5000 0.5000 0.0000 1
O1 O 0.0000 0.0000 0.3583 1
O2 O 0.0000 0.0000 0.6417 1
O3 O 0.5000 0.5000 0.1417 1
O4 O 0.5000 0.5000 0.8583 1
```



# 14
Pr2SbRh2: calculated XRD peak list (Cu Ka), based on DFT lattice parameters and positions (PBE).
Peak positions follow from Bragg's law for the DFT cell and can differ from measured ones.

Most intense lines, 2θ from 15° to 90°, low angle first:
| Position (°2θ) | d (Å) | I/Imax |
| --- | --- | --- |
| 32.38 | 2.765 | 100.0 |
| 34.58 | 2.594 | 27.1 |
| 36.75 | 2.445 | 24.5 |
| 36.97 | 2.432 | 22.1 |
| 37.75 | 2.383 | 73.0 |
| 39.87 | 2.261 | 36.0 |
| 41.76 | 2.163 | 16.5 |
| 53.79 | 1.704 | 15.2 |
| 55.33 | 1.660 | 17.5 |
| 65.82 | 1.419 | 31.3 |

Cell and atoms:
```
data_Pr2SbRh2
_cell_length_a 4.5217
_cell_length_b 5.9292
_cell_length_c 8.6522
_cell_angle_alpha 90.00
_cell_angle_beta 90.00
_cell_angle_gamma 90.00
_symmetry_space_group_name_H-M 'P 1'
_symmetry_Int_Tables_number 1
_symmetry_space_group_name_Hall 'P 1'
loop_
_atom_site_label
_atom_site_type_symbol
_atom_site_fract_x
_atom_site_fract_y
_atom_site_fract_z
_atom_site_occupancy
Pr1 Pr 0.0000 0.0000 0.2039 1
Pr2 Pr 0.0000 0.0000 0.7961 1
Pr3 Pr 0.5000 0.5000 0.2961 1
Pr4 Pr 0.5000 0.5000 0.7039 1
Sb1 Sb 0.0000 0.5000 0.0000 1
Sb2 Sb 0.5000 0.0000 0.5000 1
Rh1 Rh 0.0000 0.2707 0.5000 1
Rh2 Rh 0.0000 0.7293 0.5000 1
Rh3 Rh 0.5000 0.2293 0.0000 1
Rh4 Rh 0.5000 0.7707 0.0000 1
```